# 1
This entry pairs a crystal structure of Al3Ni10 with its theoretical powder X-ray diffraction pattern. Radiation: Cu Kα (weighted mean of Kα1 and Kα2). Structure: a crystal structure in OQMD, relaxed with PBE.
Peak positions follow from Bragg's law for the DFT cell and can differ from measured ones.

Structure:
```
13
Lattice="2.3451 1.3539 7.9709 -2.3451 1.3539 7.9709 0.0000 -2.7079 7.9709" Properties=species:S:1:pos:R:3 pbc="T T T"
Al 0.0000 0.0000 0.0000
Al 0.0000 0.0000 3.9504
Al 0.0000 0.0000 19.9622
Ni 0.0000 -1.3316 6.0452
Ni -1.1532 0.6658 6.0452
Ni 0.0000 0.0000 8.3578
Ni -1.1532 -0.6658 17.8674
Ni 0.0000 0.0000 10.7841
Ni 0.0000 0.0000 13.1285
Ni 1.1532 0.6658 6.0452
Ni 0.0000 0.0000 15.5548
Ni 1.1532 -0.6658 17.8674
Ni 0.0000 1.3316 17.8674
```

Main lines, low angle first (10 to 80 degrees two-theta):
| two_theta | I (rel.) |
| --- | --- |
| 22.31 | 31 |
| 38.38 | 18 |
| 43.94 | 34 |
| 44.81 | 100 |
| 47.43 | 29 |
| 48.71 | 32 |

---

# 2
This entry pairs a crystal structure of Al4Ni3 with its theoretical powder X-ray diffraction pattern. Radiation: Cu Kα (weighted mean of Kα1 and Kα2). Structure: a crystal structure in OQMD, relaxed with PBE.
Peak positions follow from Bragg's law for the DFT cell and can differ from measured ones.

Structure:
```
56
Lattice="-5.6964 5.6964 5.6964 5.6964 -5.6964 5.6964 5.6964 5.6964 -5.6964" Properties=species:S:1:pos:R:3 pbc="T T T"
Al 0.0000 0.0000 0.0000
Al 2.8482 2.8482 -2.8482
Al 2.8482 -2.8482 2.8482
Al 5.6964 0.0000 0.0000
Al 2.8482 0.1021 0.0000
Al 5.6964 2.8482 -2.7461
Al 2.8482 2.7461 0.0000
Al 5.6964 2.8482 -0.1021
Al 0.1021 0.0000 2.8482
Al 2.7461 0.0000 2.8482
Al 5.7985 0.0000 2.8482
Al 8.4425 0.0000 2.8482
Al 0.0000 2.8482 0.1021
Al 2.8482 -2.7461 5.6964
Al 0.0000 2.8482 2.7461
Al 2.8482 -0.1021 5.6964
Al -2.8482 2.8482 2.8482
Al 0.0000 5.6964 0.0000
Al 0.0000 0.0000 5.6964
Al 2.8482 2.8482 2.8482
Al 2.8482 5.7985 0.0000
Al 5.6964 2.8482 2.9503
Al 2.8482 8.4425 0.0000
Al 5.6964 2.8482 5.5943
Al -2.7461 5.6964 2.8482
Al -0.1021 5.6964 2.8482
Al 2.9503 5.6964 2.8482
Al 5.5943 5.6964 2.8482
Al 0.0000 2.8482 5.7985
Al 2.8482 2.9503 5.6964
Al 0.0000 2.8482 8.4425
Al 2.8482 5.5943 5.6964
Ni 4.3439 4.2723 -4.2008
Ni 4.2008 -1.3526 1.4241
Ni 4.2723 -4.2008 4.3439
Ni 4.3439 -1.4241 4.2008
Ni 9.8972 1.3526 1.4241
Ni 1.4241 4.2008 -1.3526
Ni 7.1205 1.4957 1.3526
Ni 4.2008 4.3439 -1.4241
Ni 4.3439 1.4241 1.4957
Ni 4.2723 4.2008 1.3526
Ni -1.3526 1.4241 4.2008
Ni 4.2008 1.3526 4.2723
Ni 1.4957 4.3439 1.4241
Ni 7.0490 4.2723 1.4957
Ni 1.4241 1.4957 4.3439
Ni 1.3526 4.2723 4.2008
Ni 1.4957 1.3526 7.1205
Ni -1.4241 4.2008 4.3439
Ni 4.2723 1.4957 7.0490
Ni -4.2008 4.3439 4.2723
Ni 1.3526 7.1205 1.4957
Ni 1.4241 9.8972 1.3526
Ni 1.4957 7.0490 4.2723
Ni 1.3526 1.4241 9.8972
```

Main lines, low angle first (10 to 80 degrees two-theta):
| two_theta | I (rel.) |
| --- | --- |
| 19.08 | 26 |
| 29.33 | 14 |
| 31.41 | 12 |
| 43.51 | 13 |
| 45.01 | 100 |
| 65.55 | 15 |

---

# 3
This entry pairs a crystal structure of Al4Ni9 with its theoretical powder X-ray diffraction pattern. Radiation: Cu Kα (weighted mean of Kα1 and Kα2). Structure: a crystal structure in OQMD, relaxed with PBE.
Peak positions follow from Bragg's law for the DFT cell and can differ from measured ones.

Structure:
```
13
Lattice="2.3853 1.3772 7.9766 -2.3853 1.3772 7.9766 0.0000 -2.7543 7.9766" Properties=species:S:1:pos:R:3 pbc="T T T"
Al 0.0000 0.0000 1.3629
Al 0.0000 0.0000 7.9915
Al 0.0000 0.0000 15.9384
Al 0.0000 0.0000 22.5669
Ni -1.2015 -0.6937 10.0283
Ni 0.0000 0.0000 3.7616
Ni 0.0000 -1.3874 13.9016
Ni -1.2015 0.6937 13.9016
Ni 0.0000 0.0000 11.9649
Ni 1.2015 -0.6937 10.0283
Ni 0.0000 1.3874 10.0283
Ni 0.0000 0.0000 20.1683
Ni 1.2015 0.6937 13.9016
```

Main lines, low angle first (10 to 80 degrees two-theta):
| two_theta | I (rel.) |
| --- | --- |
| 11.09 | 70 |
| 44.00 | 58 |
| 44.24 | 100 |
| 45.49 | 44 |
| 47.97 | 61 |
| 51.70 | 32 |

---

# 4
This entry pairs a crystal structure of AlNi14 with its theoretical powder X-ray diffraction pattern. Radiation: Cu Kα (weighted mean of Kα1 and Kα2). Structure: a crystal structure in OQMD, relaxed with PBE.
Peak positions follow from Bragg's law for the DFT cell and can differ from measured ones.

Structure:
```
30
Lattice="8.5672 0.0000 0.0000 0.0000 8.5672 0.0000 0.0000 0.0000 4.5184" Properties=species:S:1:pos:R:3 pbc="T T T"
Al 0.0000 0.0000 0.0000
Al 4.2836 4.2836 2.2592
Ni 0.3274 3.1493 2.2592
Ni 0.5581 2.2686 0.0000
Ni 0.8664 0.8664 2.2592
Ni 1.1343 4.6110 0.0000
Ni 1.5757 6.9916 1.1336
Ni 1.5757 6.9916 3.3848
Ni 2.0150 4.8417 2.2592
Ni 2.2686 0.5581 0.0000
Ni 2.7080 2.7080 1.1256
Ni 2.7080 2.7080 3.3928
Ni 3.1493 0.3274 2.2592
Ni 3.4172 5.1500 0.0000
Ni 3.7255 6.5523 2.2592
Ni 3.9563 7.4329 0.0000
Ni 4.6110 1.1343 0.0000
Ni 4.8417 2.0150 2.2592
Ni 5.1500 3.4172 0.0000
Ni 5.4179 8.2399 2.2592
Ni 5.8593 5.8593 1.1256
Ni 5.8593 5.8593 3.3928
Ni 6.2986 8.0092 0.0000
Ni 6.5523 3.7255 2.2592
Ni 6.9916 1.5757 1.1336
Ni 6.9916 1.5757 3.3848
Ni 7.4329 3.9563 0.0000
Ni 7.7008 7.7008 2.2592
Ni 8.0092 6.2986 0.0000
Ni 8.2399 5.4179 2.2592
```

Main lines, low angle first (10 to 80 degrees two-theta):
| two_theta | I (rel.) |
| --- | --- |
| 43.56 | 100 |
| 44.89 | 36 |
| 45.39 | 31 |
| 46.67 | 74 |
| 48.20 | 89 |
| 49.44 | 53 |